Starting from the PBE geometry in Alexandria, the powder diffractogram of Tb2Ce2Os3 was calculated for copper Kα.
Lines closer than 0.1° are merged.

Cell lengths 4.759, 4.759, 8.583 Å; angles 106.22, 106.22, 60.17 degrees
Fractional positions:
Tb: 0.127 0.127 0.382
Tb: 0.873 0.873 0.618
Ce: 0.379 0.379 0.136
Ce: 0.621 0.621 0.864
Os: 0.000 0.000 0.000
Os: 0.255 0.255 0.762
Os: 0.745 0.745 0.238

The 6 most intense peaks (10 to 90 degrees two-theta), by angle:
2θ 36.6, I = 100.0; 2θ 36.8, I = 49.5; 2θ 37.7, I = 47.3; 2θ 37.8, I = 93.9; 2θ 53.7, I = 51.2; 2θ 67.4, I = 34.3